No. 1
Theoretical powder diffraction line list of Y4Er3Pt4 for a wavelength of 1.5418 Å, from a cell relaxed with GGA-PBE.
No peak broadening, texture or thermal motion is included.

Cell and atoms:
```
Y4Er3Pt4
1.0
-1.891 4.391 8.173
1.891 -4.391 8.173
1.891 4.391 -8.173
Y Er Pt
4 3 4
direct
0.021 0.835 0.186 Y
0.352 0.165 0.186 Y
0.648 0.835 0.814 Y
0.979 0.165 0.814 Y
0.000 0.500 0.500 Er
0.402 0.402 0.000 Er
0.598 0.598 0.000 Er
0.259 0.759 0.500 Pt
0.296 0.000 0.296 Pt
0.704 0.000 0.704 Pt
0.741 0.241 0.500 Pt
```

Largest 12 diffraction maxima, in order of rising 2θ, 2θ = 5–70°:
2θ/deg, I (rel.)
11.44, 16.8
21.75, 17.0
31.70, 92.4
33.87, 100.0
34.79, 43.5
36.32, 28.8
38.90, 41.9
40.50, 38.8
48.12, 25.7
60.74, 17.3
62.58, 32.6
63.54, 24.9

=====

No. 2
Theoretical powder diffraction line list of Er4ZnPt for a wavelength of 1.5418 Å, from a cell relaxed with GGA-PBE.
No peak broadening, texture or thermal motion is included.

Cell and atoms:
```
Er4ZnPt
1.0
0.000 6.682 6.682
6.682 0.000 6.682
6.682 6.682 0.000
Er Zn Pt
16 4 4
direct
0.059 0.059 0.441 Er
0.059 0.441 0.059 Er
0.059 0.441 0.441 Er
0.172 0.609 0.609 Er
0.185 0.185 0.815 Er
0.185 0.815 0.185 Er
0.185 0.815 0.815 Er
0.441 0.059 0.059 Er
0.441 0.059 0.441 Er
0.441 0.441 0.059 Er
0.609 0.172 0.609 Er
0.609 0.609 0.172 Er
0.609 0.609 0.609 Er
0.815 0.185 0.185 Er
0.815 0.185 0.815 Er
0.815 0.815 0.185 Er
0.504 0.832 0.832 Zn
0.832 0.504 0.832 Zn
0.832 0.832 0.504 Zn
0.832 0.832 0.832 Zn
0.396 0.396 0.396 Pt
0.396 0.396 0.813 Pt
0.396 0.813 0.396 Pt
0.813 0.396 0.396 Pt
```

Largest 12 diffraction maxima, in order of rising 2θ, 2θ = 5–70°:
2θ/deg, I (rel.)
11.47, 12.8
22.06, 6.5
29.13, 21.6
32.83, 36.5
34.89, 100.0
38.09, 40.1
39.91, 7.5
48.66, 6.0
52.61, 11.6
56.35, 5.4
58.62, 35.9
59.95, 14.6

=====

No. 3
Theoretical powder diffraction line list of ErZn5Pt3 for a wavelength of 1.5418 Å, from a cell relaxed with GGA-PBE.
No peak broadening, texture or thermal motion is included.

Cell and atoms:
```
ErZn5Pt3
1.0
1.940 -6.952 0.000
1.940 6.952 0.000
0.000 0.000 11.746
Er Zn Pt
2 10 6
direct
0.195 0.805 0.750 Er
0.805 0.195 0.250 Er
0.000 0.000 0.000 Zn
0.000 0.000 0.500 Zn
0.197 0.803 0.042 Zn
0.197 0.803 0.458 Zn
0.439 0.561 0.639 Zn
0.439 0.561 0.861 Zn
0.561 0.439 0.139 Zn
0.561 0.439 0.361 Zn
0.803 0.197 0.542 Zn
0.803 0.197 0.958 Zn
0.139 0.861 0.250 Pt
0.383 0.617 0.080 Pt
0.383 0.617 0.420 Pt
0.617 0.383 0.580 Pt
0.617 0.383 0.920 Pt
0.861 0.139 0.750 Pt
```

Largest 12 diffraction maxima, in order of rising 2θ, 2θ = 5–70°:
2θ/deg, I (rel.)
25.63, 47.9
26.12, 64.4
28.31, 32.7
33.13, 84.2
33.77, 92.4
39.01, 100.0
39.88, 84.1
40.65, 41.8
43.29, 32.4
45.48, 80.9
46.83, 66.7
67.34, 51.6

=====

No. 4
Theoretical powder diffraction line list of Er2Zr3Pt4 for a wavelength of 1.5418 Å, from a cell relaxed with GGA-PBE.
No peak broadening, texture or thermal motion is included.

Cell and atoms:
```
Er2Zr3Pt4
1.0
7.023 0.000 0.000
0.000 7.867 0.000
-2.484 0.000 6.886
Er Zr Pt
4 6 8
direct
0.192 0.173 0.068 Er
0.192 0.327 0.568 Er
0.808 0.673 0.432 Er
0.808 0.827 0.932 Er
0.251 0.666 0.253 Zr
0.251 0.834 0.753 Zr
0.500 0.000 0.500 Zr
0.500 0.500 0.000 Zr
0.749 0.166 0.247 Zr
0.749 0.334 0.747 Zr
0.085 0.547 0.856 Pt
0.085 0.953 0.356 Pt
0.494 0.131 0.867 Pt
0.494 0.369 0.367 Pt
0.506 0.631 0.633 Pt
0.506 0.869 0.133 Pt
0.915 0.047 0.644 Pt
0.915 0.453 0.144 Pt
```

Largest 12 diffraction maxima, in order of rising 2θ, 2θ = 5–70°:
2θ/deg, I (rel.)
24.39, 34.4
31.45, 39.1
32.59, 46.6
33.79, 33.9
34.45, 100.0
35.13, 81.3
35.49, 25.4
35.78, 23.6
36.67, 62.3
38.64, 79.9
40.45, 26.0
40.98, 25.3

=====

No. 5
Theoretical powder diffraction line list of Er2PuRh9 for a wavelength of 1.5418 Å, from a cell relaxed with GGA-PBE.
No peak broadening, texture or thermal motion is included.

Cell and atoms:
```
Er2PuRh9
1.0
2.623 1.514 8.757
-2.623 1.514 8.757
0.000 -3.028 8.757
Er Pu Rh
2 1 9
direct
0.139 0.139 0.139 Er
0.861 0.861 0.861 Er
0.000 0.000 0.000 Pu
0.082 0.584 0.584 Rh
0.333 0.333 0.333 Rh
0.416 0.416 0.918 Rh
0.416 0.918 0.416 Rh
0.500 0.500 0.500 Rh
0.584 0.082 0.584 Rh
0.584 0.584 0.082 Rh
0.667 0.667 0.667 Rh
0.918 0.416 0.416 Rh
```

Largest 12 diffraction maxima, in order of rising 2θ, 2θ = 5–70°:
2θ/deg, I (rel.)
30.91, 32.6
33.68, 32.5
34.19, 40.1
39.84, 36.1
40.08, 100.0
40.30, 13.8
41.24, 18.6
42.78, 11.1
43.41, 18.4
60.89, 11.8
63.92, 11.5
65.20, 23.7

=====

No. 6
Theoretical powder diffraction line list of Er2PuRh2 for a wavelength of 1.5418 Å, from a cell relaxed with GGA-PBE.
No peak broadening, texture or thermal motion is included.

Cell and atoms:
```
Er2PuRh2
1.0
5.589 0.000 0.000
0.000 4.213 0.000
-1.149 0.000 10.239
Er Pu Rh
4 2 4
direct
0.113 0.250 0.379 Er
0.251 0.250 0.037 Er
0.749 0.750 0.963 Er
0.887 0.750 0.621 Er
0.399 0.250 0.711 Pu
0.601 0.750 0.289 Pu
0.240 0.750 0.856 Rh
0.344 0.750 0.536 Rh
0.656 0.250 0.464 Rh
0.760 0.250 0.144 Rh
```

Largest 12 diffraction maxima, in order of rising 2θ, 2θ = 5–70°:
2θ/deg, I (rel.)
26.56, 32.5
27.40, 27.3
28.54, 63.9
33.80, 100.0
34.39, 56.8
35.00, 51.2
36.25, 89.1
38.88, 36.3
40.69, 27.9
41.23, 53.2
42.94, 60.2
56.13, 28.5

=====

No. 7
Theoretical powder diffraction line list of Er2Pu2S7 for a wavelength of 1.5418 Å, from a cell relaxed with GGA-PBE.
No peak broadening, texture or thermal motion is included.

Cell and atoms:
```
Er2Pu2S7
1.0
-1.942 6.951 4.257
1.942 -6.951 4.257
1.942 6.951 -4.257
Er Pu S
2 2 7
direct
0.000 0.000 0.000 Er
0.541 0.041 0.500 Er
0.482 0.240 0.243 Pu
0.997 0.240 0.757 Pu
0.188 0.549 0.638 S
0.251 0.935 0.316 S
0.320 0.320 0.000 S
0.612 0.722 0.890 S
0.620 0.935 0.684 S
0.832 0.722 0.110 S
0.911 0.549 0.362 S
```

Largest 12 diffraction maxima, in order of rising 2θ, 2θ = 5–70°:
2θ/deg, I (rel.)
24.52, 100.0
25.20, 55.2
25.63, 44.2
28.33, 60.0
36.26, 82.6
41.50, 58.5
44.52, 35.9
46.78, 19.5
46.90, 18.6
53.52, 25.5
65.62, 16.8
66.56, 22.0

=====

No. 8
Theoretical powder diffraction line list of Er4Pu3S8 for a wavelength of 1.5418 Å, from a cell relaxed with GGA-PBE.
No peak broadening, texture or thermal motion is included.

Cell and atoms:
```
Er4Pu3S8
1.0
5.512 -5.520 0.000
5.512 5.520 0.000
-5.490 0.000 5.531
Er Pu S
4 3 8
direct
0.000 0.000 0.000 Er
0.000 0.000 0.500 Er
0.000 0.500 0.000 Er
0.500 0.000 0.000 Er
0.000 0.500 0.500 Pu
0.500 0.000 0.500 Pu
0.500 0.500 0.500 Pu
0.245 0.245 0.494 S
0.245 0.245 0.992 S
0.248 0.752 0.000 S
0.248 0.752 0.500 S
0.752 0.248 0.000 S
0.752 0.248 0.500 S
0.755 0.755 0.008 S
0.755 0.755 0.506 S
```

Largest 12 diffraction maxima, in order of rising 2θ, 2θ = 5–70°:
2θ/deg, I (rel.)
13.90, 14.1
16.04, 15.4
22.79, 13.8
26.76, 8.6
27.99, 100.0
32.41, 77.5
32.49, 38.5
46.47, 42.4
46.59, 42.1
55.18, 33.3
57.77, 14.8
57.94, 14.7